[1]
Computed X-ray diffraction stick pattern
Compound: Rb2TbP2S6
Radiation: Cu Ka
Structure: a GGA-PBE-relaxed structure

```
data_Rb2TbP2S6
_chemical_formula_sum 'Rb2 Tb1 P2 S6'
_cell_length_a 6.923
_cell_length_b 6.923
_cell_length_c 8.110
_cell_angle_alpha 114.30
_cell_angle_beta 114.30
_cell_angle_gamma 60.33
_symmetry_space_group_name_H-M 'P 1'
_symmetry_Int_Tables_number 1
loop_
_symmetry_equiv_pos_as_xyz
'x,y,z'
loop_
_atom_site_label
_atom_site_fract_x
_atom_site_fract_y
_atom_site_fract_z
Rb1 0.214 0.214 0.195
Rb2 0.786 0.786 0.805
Tb1 0.000 0.000 0.500
P1 0.449 0.449 0.821
P2 0.551 0.551 0.179
S1 0.219 0.707 0.213
S2 0.253 0.253 0.632
S3 0.293 0.781 0.787
S4 0.707 0.219 0.213
S5 0.747 0.747 0.368
S6 0.781 0.293 0.787
```

Most intense lines, 2θ from 15° to 90°, in order of rising 2θ:
2θ (°)  d [Å]  I/Imax
15.3  5.805  32
22.1  4.016  59
25.6  3.474  100
25.7  3.461  67
30.1  2.971  21
34.1  2.632  26
34.3  2.611  60
36.4  2.471  27
45.2  2.006  36
46.0  1.975  31

=====

[2]
Computed X-ray diffraction stick pattern
Compound: RbTiPS5
Radiation: Cu Ka
Structure: a GGA-PBE-relaxed structure

```
data_RbTiPS5
_chemical_formula_sum 'Rb4 Ti4 P4 S20'
_cell_length_a 10.012
_cell_length_b 10.012
_cell_length_c 16.133
_cell_angle_alpha 120.12
_cell_angle_beta 120.12
_cell_angle_gamma 41.82
_symmetry_space_group_name_H-M 'P 1'
_symmetry_Int_Tables_number 1
loop_
_symmetry_equiv_pos_as_xyz
'x,y,z'
loop_
_atom_site_label
_atom_site_fract_x
_atom_site_fract_y
_atom_site_fract_z
Rb1 0.167 0.167 0.360
Rb2 0.199 0.199 0.853
Rb3 0.801 0.801 0.147
Rb4 0.833 0.833 0.640
Ti1 0.224 0.776 0.500
Ti2 0.278 0.722 0.000
Ti3 0.722 0.278 0.000
Ti4 0.776 0.224 0.500
P1 0.165 0.165 0.090
P2 0.421 0.421 0.593
P3 0.579 0.579 0.407
P4 0.835 0.835 0.910
S1 0.059 0.059 0.945
S2 0.091 0.625 0.852
S3 0.103 0.103 0.589
S4 0.262 0.732 0.648
S5 0.268 0.738 0.352
S6 0.277 0.277 0.104
S7 0.322 0.322 0.608
S8 0.375 0.909 0.148
S9 0.392 0.392 0.448
S10 0.478 0.478 0.087
S11 0.522 0.522 0.913
S12 0.608 0.608 0.552
S13 0.625 0.091 0.852
S14 0.678 0.678 0.392
S15 0.723 0.723 0.896
S16 0.732 0.262 0.648
S17 0.738 0.268 0.352
S18 0.897 0.897 0.411
S19 0.909 0.375 0.148
S20 0.941 0.941 0.055
```

Most intense lines, 2θ from 15° to 90°, in order of rising 2θ:
2θ (°)  d [Å]  I/Imax
15.7  5.636  62
16.5  5.372  60
19.0  4.667  81
21.0  4.236  93
21.3  4.164  72
22.2  4.002  63
26.2  3.402  86
27.4  3.254  100
27.6  3.228  72
32.4  2.761  72

=====

[3]
Computed X-ray diffraction stick pattern
Compound: RbVP2S8
Radiation: Cu Ka
Structure: a GGA-PBE-relaxed structure

```
data_RbVP2S8
_chemical_formula_sum 'Rb1 V1 P2 S8'
_cell_length_a 10.391
_cell_length_b 10.391
_cell_length_c 10.391
_cell_angle_alpha 33.10
_cell_angle_beta 33.10
_cell_angle_gamma 33.10
_symmetry_space_group_name_H-M 'P 1'
_symmetry_Int_Tables_number 1
loop_
_symmetry_equiv_pos_as_xyz
'x,y,z'
loop_
_atom_site_label
_atom_site_fract_x
_atom_site_fract_y
_atom_site_fract_z
Rb1 0.000 0.000 0.000
V1 0.500 0.500 0.500
P1 0.233 0.233 0.233
P2 0.767 0.767 0.767
S1 0.127 0.787 0.453
S2 0.213 0.547 0.873
S3 0.301 0.301 0.301
S4 0.453 0.127 0.787
S5 0.547 0.873 0.213
S6 0.699 0.699 0.699
S7 0.787 0.453 0.127
S8 0.873 0.213 0.547
```

Most intense lines, 2θ from 15° to 90°, in order of rising 2θ:
2θ (°)  d [Å]  I/Imax
21.1  4.207  100
27.3  3.271  20
30.2  2.960  23
31.6  2.834  54
35.2  2.553  17
35.4  2.535  48
37.1  2.421  22
48.2  1.889  18
48.6  1.874  19
53.6  1.709  32

=====

[4]
Computed X-ray diffraction stick pattern
Compound: RbZrPS2
Radiation: Cu Ka
Structure: a GGA-PBE-relaxed structure

```
data_RbZrPS2
_chemical_formula_sum 'Rb1 Zr1 P1 S2'
_cell_length_a 5.106
_cell_length_b 5.106
_cell_length_c 5.147
_cell_angle_alpha 90.00
_cell_angle_beta 90.00
_cell_angle_gamma 90.00
_symmetry_space_group_name_H-M 'P 1'
_symmetry_Int_Tables_number 1
loop_
_symmetry_equiv_pos_as_xyz
'x,y,z'
loop_
_atom_site_label
_atom_site_fract_x
_atom_site_fract_y
_atom_site_fract_z
Rb1 0.000 0.000 0.000
Zr1 0.500 0.500 0.500
P1 0.500 0.500 0.000
S1 0.000 0.500 0.500
S2 0.500 0.000 0.500
```

Most intense lines, 2θ from 15° to 90°, in order of rising 2θ:
2θ (°)  d [Å]  I/Imax
24.6  3.625  100
24.7  3.610  46
30.2  2.956  23
34.9  2.574  35
35.2  2.553  68
43.2  2.096  21
43.4  2.087  44
50.3  1.812  46
50.6  1.805  23
62.9  1.478  23

=====

[5]
Computed X-ray diffraction stick pattern
Compound: RbSbP
Radiation: Cu Ka
Structure: a GGA-PBE-relaxed structure

```
data_RbSbP
_chemical_formula_sum 'Rb4 Sb4 P4'
_cell_length_a 14.616
_cell_length_b 3.868
_cell_length_c 9.348
_cell_angle_alpha 90.00
_cell_angle_beta 125.70
_cell_angle_gamma 90.00
_symmetry_space_group_name_H-M 'P 1'
_symmetry_Int_Tables_number 1
loop_
_symmetry_equiv_pos_as_xyz
'x,y,z'
loop_
_atom_site_label
_atom_site_fract_x
_atom_site_fract_y
_atom_site_fract_z
Rb1 0.206 0.000 0.207
Rb2 0.294 0.500 0.793
Rb3 0.706 0.500 0.207
Rb4 0.794 0.000 0.793
Sb1 0.011 0.500 0.755
Sb2 0.489 0.000 0.245
Sb3 0.511 0.000 0.755
Sb4 0.989 0.500 0.245
P1 0.064 0.000 0.471
P2 0.436 0.500 0.529
P3 0.564 0.500 0.471
P4 0.936 0.000 0.529
```

Most intense lines, 2θ from 15° to 90°, in order of rising 2θ:
2θ (°)  d [Å]  I/Imax
23.4  3.796  65
25.1  3.551  100
28.8  3.097  39
30.1  2.966  35
30.6  2.918  67
31.3  2.858  47
32.4  2.766  61
47.9  1.897  45
49.9  1.827  26
54.0  1.698  23

=====

[6]
Computed X-ray diffraction stick pattern
Compound: RbSbP
Radiation: Cu Ka
Structure: a GGA-PBE-relaxed structure

```
data_RbSbP
_chemical_formula_sum 'Rb2 Sb2 P2'
_cell_length_a 6.792
_cell_length_b 3.845
_cell_length_c 8.372
_cell_angle_alpha 90.00
_cell_angle_beta 102.58
_cell_angle_gamma 90.00
_symmetry_space_group_name_H-M 'P 1'
_symmetry_Int_Tables_number 1
loop_
_symmetry_equiv_pos_as_xyz
'x,y,z'
loop_
_atom_site_label
_atom_site_fract_x
_atom_site_fract_y
_atom_site_fract_z
Rb1 0.164 0.000 0.295
Rb2 0.836 0.000 0.705
Sb1 0.351 0.500 0.726
Sb2 0.649 0.500 0.274
P1 0.340 0.000 0.932
P2 0.660 0.000 0.068
```

Most intense lines, 2θ from 15° to 90°, in order of rising 2θ:
2θ (°)  d [Å]  I/Imax
21.8  4.086  77
26.8  3.332  100
27.8  3.205  42
30.1  2.969  92
31.3  2.862  41
32.8  2.730  81
37.9  2.373  20
45.3  2.003  38
48.5  1.876  22
55.1  1.666  23

=====

[7]
Computed X-ray diffraction stick pattern
Compound: RbSbP
Radiation: Cu Ka
Structure: a GGA-PBE-relaxed structure

```
data_RbSbP
_chemical_formula_sum 'Rb2 Sb2 P2'
_cell_length_a 7.202
_cell_length_b 3.863
_cell_length_c 9.285
_cell_angle_alpha 90.00
_cell_angle_beta 103.73
_cell_angle_gamma 90.00
_symmetry_space_group_name_H-M 'P 1'
_symmetry_Int_Tables_number 1
loop_
_symmetry_equiv_pos_as_xyz
'x,y,z'
loop_
_atom_site_label
_atom_site_fract_x
_atom_site_fract_y
_atom_site_fract_z
Rb1 0.000 0.000 0.000
Rb2 0.500 0.000 0.500
Sb1 0.221 0.500 0.731
Sb2 0.779 0.500 0.269
P1 0.009 0.000 0.381
P2 0.991 0.000 0.619
```

Most intense lines, 2θ from 15° to 90°, in order of rising 2θ:
2θ (°)  d [Å]  I/Imax
17.8  4.985  100
27.1  3.293  80
28.3  3.150  44
29.4  3.036  49
30.5  2.934  73
34.6  2.593  64
36.0  2.492  20
42.5  2.129  29
48.6  1.872  26
49.4  1.845  24

=====

[8]
Computed X-ray diffraction stick pattern
Compound: RbZn4SbP2
Radiation: Cu Ka
Structure: a GGA-PBE-relaxed structure

```
data_RbZn4SbP2
_chemical_formula_sum 'Rb1 Zn4 Sb1 P2'
_cell_length_a 4.183
_cell_length_b 4.183
_cell_length_c 10.704
_cell_angle_alpha 90.00
_cell_angle_beta 90.00
_cell_angle_gamma 90.00
_symmetry_space_group_name_H-M 'P 1'
_symmetry_Int_Tables_number 1
loop_
_symmetry_equiv_pos_as_xyz
'x,y,z'
loop_
_atom_site_label
_atom_site_fract_x
_atom_site_fract_y
_atom_site_fract_z
Rb1 0.000 0.000 0.000
Zn1 0.000 0.500 0.326
Zn2 0.000 0.500 0.674
Zn3 0.500 0.000 0.326
Zn4 0.500 0.000 0.674
Sb1 0.000 0.000 0.500
P1 0.500 0.500 0.207
P2 0.500 0.500 0.793
```

Most intense lines, 2θ from 15° to 90°, in order of rising 2θ:
2θ (°)  d [Å]  I/Imax
21.2  4.183  27
25.0  3.568  18
27.1  3.296  100
34.7  2.589  78
39.6  2.277  69
43.3  2.091  62
45.7  1.984  37
51.8  1.766  31
62.8  1.479  19
69.2  1.357  22